This entry pairs a crystal structure of CdIn16Ga12 with its simulated powder diffraction line list. Radiation: Cu Ka. Structure: a structure optimized by DFT (PBE).

Crystal structure
Lattice parameters (Å, degrees): 10.2904 10.2904 9.0857 108.71 108.71 115.68
Sites, in units of the cell vectors:
Cd: 0.0000 0.0000 0.0000
In: 0.0070 0.4055 0.6175
In: 0.0397 0.0397 0.6620
In: 0.0974 0.6988 0.9985
In: 0.1107 0.3443 0.3065
In: 0.2949 0.9829 0.9081
In: 0.3059 0.3059 0.6218
In: 0.3413 0.6818 0.3100
In: 0.3443 0.1107 0.3065
In: 0.3811 0.6950 0.7082
In: 0.4055 0.0070 0.6175
In: 0.6818 0.3413 0.3100
In: 0.6886 0.6886 0.3021
In: 0.6950 0.3811 0.7082
In: 0.6965 0.6965 0.9489
In: 0.6988 0.0974 0.9985
In: 0.9829 0.2949 0.9081
Ga: 0.0438 0.8550 0.3090
Ga: 0.0639 0.6769 0.4998
Ga: 0.3275 0.3275 0.1099
Ga: 0.3359 0.5305 0.9554
Ga: 0.4910 0.8793 0.1208
Ga: 0.5217 0.5217 0.4961
Ga: 0.5305 0.3359 0.9554
Ga: 0.6769 0.0639 0.4998
Ga: 0.6923 0.8805 0.6666
Ga: 0.8550 0.0438 0.3090
Ga: 0.8793 0.4910 0.1208
Ga: 0.8805 0.6923 0.6666

Largest 10 diffraction maxima, in order of rising 2θ, 2θ from 10° to 90°:
2theta, Rel. int.
30.79, 227
32.12, 183
32.72, 1000
34.32, 388
34.44, 974
35.02, 467
35.56, 603
36.17, 393
37.19, 382
40.04, 153